Entry 1:
Starting from a DFT-relaxed cell (GGA-PBE, Alexandria), the X-ray diffraction stick pattern of TbAgH2C2SO9 was simulated for Cu Kα X-rays.
Neutral-atom scattering factors, no anomalous dispersion.

Largest 10 diffraction maxima, in order of rising 2θ, 15° ≤ 2θ ≤ 90°:
d = 4.486 Å, 19.79 deg, I = 70.8; d = 4.124 Å, 21.55 deg, I = 62.5; d = 3.845 Å, 23.13 deg, I = 93.3; d = 3.488 Å, 25.54 deg, I = 100.0; d = 2.880 Å, 31.06 deg, I = 56.0; d = 2.750 Å, 32.56 deg, I = 40.7; d = 2.663 Å, 33.65 deg, I = 36.5; d = 2.331 Å, 38.63 deg, I = 40.8; d = 2.288 Å, 39.39 deg, I = 34.4; d = 2.076 Å, 43.60 deg, I = 30.8

Structural model:
```
TbAgH2C2SO9
1.0
6.922 -3.488 0.000
6.922 3.488 0.000
-4.154 0.000 8.247
Tb Ag H C S O
2 2 4 4 2 18
direct
0.244 0.244 0.263
0.756 0.756 0.737
0.080 0.080 0.668
0.920 0.920 0.332
0.306 0.306 0.984
0.416 0.416 0.145
0.584 0.584 0.855
0.694 0.694 0.016
0.018 0.018 0.932
0.391 0.609 0.500
0.609 0.391 0.500
0.982 0.982 0.068
0.329 0.329 0.701
0.671 0.671 0.299
0.056 0.056 0.213
0.119 0.119 0.975
0.128 0.471 0.771
0.221 0.602 0.408
0.262 0.262 0.522
0.337 0.337 0.103
0.398 0.779 0.592
0.445 0.445 0.744
0.471 0.128 0.771
0.529 0.872 0.229
0.555 0.555 0.256
0.602 0.221 0.408
0.663 0.663 0.897
0.738 0.738 0.478
0.779 0.398 0.592
0.872 0.529 0.229
0.881 0.881 0.025
0.944 0.944 0.787
```

=====

Entry 2:
Starting from a DFT-relaxed cell (GGA-PBE, Alexandria), the X-ray diffraction stick pattern of TbHo2AgC was simulated for Cu Kα X-rays.
Neutral-atom scattering factors, no anomalous dispersion.

Largest 10 diffraction maxima, in order of rising 2θ, 15° ≤ 2θ ≤ 90°:
d = 2.821 Å, 31.72 deg, I = 100.0; d = 2.515 Å, 35.70 deg, I = 19.5; d = 2.410 Å, 37.32 deg, I = 34.7; d = 1.740 Å, 52.60 deg, I = 25.5; d = 1.704 Å, 53.80 deg, I = 12.0; d = 1.505 Å, 61.65 deg, I = 14.8; d = 1.459 Å, 63.82 deg, I = 26.9; d = 1.411 Å, 66.25 deg, I = 12.6; d = 1.128 Å, 86.25 deg, I = 11.9; d = 1.115 Å, 87.49 deg, I = 6.0

Structural model:
```
TbHo2AgC
1.0
4.819 0.000 0.000
0.000 4.819 0.000
0.000 0.000 5.030
Tb Ho Ag C
1 2 1 1
direct
0.000 0.000 0.000
0.000 0.500 0.503
0.500 0.000 0.503
0.500 0.500 0.016
0.000 0.000 0.523
```

=====

Entry 3:
Starting from a DFT-relaxed cell (GGA-PBE, Alexandria), the X-ray diffraction stick pattern of AgTeCI2 was simulated for Cu Kα X-rays.
Neutral-atom scattering factors, no anomalous dispersion.

Largest 10 diffraction maxima, in order of rising 2θ, 15° ≤ 2θ ≤ 90°:
d = 2.907 Å, 30.76 deg, I = 100.0; d = 2.619 Å, 34.24 deg, I = 41.0; d = 2.345 Å, 38.38 deg, I = 15.0; d = 1.852 Å, 49.20 deg, I = 14.3; d = 1.747 Å, 52.36 deg, I = 23.7; d = 1.562 Å, 59.15 deg, I = 30.3; d = 1.453 Å, 64.07 deg, I = 12.7; d = 1.441 Å, 64.71 deg, I = 11.5; d = 1.171 Å, 82.32 deg, I = 6.3; d = 1.137 Å, 85.38 deg, I = 11.0

Structural model:
```
AgTeCI2
1.0
5.238 0.000 0.000
0.000 5.238 0.000
0.000 0.000 4.691
Ag Te C I
1 1 1 2
direct
0.000 0.000 0.000
0.500 0.500 0.000
0.500 0.500 0.500
0.000 0.500 0.500
0.500 0.000 0.500
```

=====

Entry 4:
Starting from a DFT-relaxed cell (GGA-PBE, Alexandria), the X-ray diffraction stick pattern of KAgCO3 was simulated for Cu Kα X-rays.
Neutral-atom scattering factors, no anomalous dispersion.

Largest 10 diffraction maxima, in order of rising 2θ, 15° ≤ 2θ ≤ 90°:
d = 5.196 Å, 17.06 deg, I = 29.9; d = 3.464 Å, 25.72 deg, I = 47.2; d = 2.812 Å, 31.82 deg, I = 75.6; d = 2.680 Å, 33.44 deg, I = 100.0; d = 2.546 Å, 35.25 deg, I = 36.1; d = 2.518 Å, 35.66 deg, I = 49.2; d = 2.266 Å, 39.78 deg, I = 24.2; d = 1.999 Å, 45.38 deg, I = 22.9; d = 1.941 Å, 46.80 deg, I = 25.5; d = 1.756 Å, 52.09 deg, I = 23.9

Structural model:
```
KAgCO3
1.0
10.825 -2.921 0.000
10.825 2.921 0.000
-1.707 0.000 5.853
K Ag C O
4 4 4 12
direct
0.180 0.680 0.930
0.320 0.820 0.570
0.680 0.180 0.430
0.820 0.320 0.070
0.250 0.250 0.142
0.250 0.250 0.642
0.750 0.750 0.358
0.750 0.750 0.858
0.127 0.627 0.377
0.373 0.873 0.123
0.627 0.127 0.877
0.873 0.373 0.623
0.049 0.256 0.526
0.189 0.689 0.439
0.244 0.451 0.221
0.256 0.049 0.026
0.311 0.811 0.061
0.451 0.244 0.721
0.549 0.756 0.279
0.689 0.189 0.939
0.744 0.951 0.974
0.756 0.549 0.779
0.811 0.311 0.561
0.951 0.744 0.474
```